Structure and simulated powder diffractogram of LiSm4V4O12 (a DFT-relaxed cell (GGA+U, Alexandria); a wavelength of 1.5418 Å).

The 8 most intense peaks (10 to 90 degrees two-theta), in order of rising 2θ:
3.924 Å, rel. 36, (0 0 2); 2.967 Å, rel. 29, (0 2 0); 2.826 Å, rel. 46, (1 -1 2); 2.801 Å, rel. 100, (-1 1 2); 2.772 Å, rel. 52, (1 1 2); 2.703 Å, rel. 46, (2 0 0); 1.961 Å, rel. 39, (0 0 4); 1.588 Å, rel. 32, (2 0 -4)

Atomic structure:
Lattice parameters (Å, degrees): 5.406 5.935 7.849 90.81 90.03 91.16
Space group P1 (No. 1)
Unique sites:
Li1 0.000 0.000 0.000 x1
Sm1 0.120 0.830 0.606 x1
Sm2 0.170 0.650 0.123 x1
Sm3 0.585 0.187 0.106 x1
Sm4 0.661 0.332 0.604 x1
V1 0.132 0.247 0.359 x1
V2 0.140 0.287 0.838 x1
V3 0.631 0.761 0.854 x1
V4 0.643 0.760 0.356 x1
O1 0.020 0.282 0.108 x1
O2 0.254 0.216 0.594 x1
O3 0.320 0.947 0.917 x1
O4 0.336 0.945 0.299 x1
O5 0.439 0.446 0.301 x1
O6 0.451 0.473 0.919 x1
O7 0.523 0.714 0.598 x1
O8 0.766 0.811 0.110 x1
O9 0.818 0.062 0.801 x1
O10 0.832 0.063 0.416 x1
O11 0.932 0.579 0.795 x1
O12 0.942 0.563 0.408 x1